# As2Pt5
Simulated powder X-ray diffraction pattern, Cu Kα (weighted mean of Kα1 and Kα2). Input: a crystal structure in OQMD, relaxed with GGA-PBE.

Principal peaks in the range 5 to 70 degrees two-theta, sorted by position:
Position (°2θ)	I_rel
32.17	48
32.86	50
32.99	28
37.45	22
37.83	41
38.96	100
40.20	74
46.64	53
49.55	42
50.48	27

Lattice parameters (Å, degrees): 11.0148 5.5650 7.6551 90.00 98.14 90.00
Space group C2/c (No. 15)
Unique sites:
As1 0.1612 0.0941 0.2742
Pt1 0.0000 0.4046 0.2500
Pt2 0.1193 0.2425 0.9647
Pt3 0.1367 0.2741 0.5831

# ErPu3Se4
Simulated powder X-ray diffraction pattern, Cu Kα (weighted mean of Kα1 and Kα2). Input: a crystal structure in OQMD, relaxed with GGA-PBE.

Principal peaks in the range 5 to 70 degrees two-theta, sorted by position:
Position (°2θ)	I_rel
13.14	1
15.20	1
25.32	1
26.46	40
30.65	100
33.47	1
43.90	76
51.99	21
54.49	27
63.82	13

Lattice parameters (Å, degrees): 8.2574 11.6611 4.1241 90.00 90.00 90.00
Space group Cmmm (No. 65)
Unique sites:
Er1 0.0000 0.0000 0.0000
Pu1 0.0000 0.5000 0.0000
Pu2 0.2500 0.2500 0.5000
Se1 0.0000 0.2474 0.0000
Se2 0.2444 0.0000 0.5000

# Pr3Mg4Ge4
Simulated powder X-ray diffraction pattern, Cu Kα (weighted mean of Kα1 and Kα2). Input: a crystal structure in OQMD, relaxed with GGA-PBE.

Principal peaks in the range 5 to 70 degrees two-theta, sorted by position:
Position (°2θ)	I_rel
19.75	22
25.90	23
29.57	54
31.15	62
31.77	100
40.38	30
42.01	70
51.86	29
59.65	19
60.90	28

Lattice parameters (Å, degrees): 4.3060 4.4669 26.9744 90.00 90.00 90.00
Space group Immm (No. 71)
Unique sites:
Pr1 0.0000 0.0000 0.0000
Pr2 0.0000 0.5000 0.1420
Mg1 0.0000 0.0000 0.2506
Mg2 0.0000 0.5000 0.4064
Ge1 0.0000 0.0000 0.4537
Ge2 0.0000 0.5000 0.3111

# CsMo3I7
Simulated powder X-ray diffraction pattern, Cu Kα (weighted mean of Kα1 and Kα2). Input: a crystal structure in OQMD, relaxed with GGA-PBE.

Principal peaks in the range 5 to 70 degrees two-theta, sorted by position:
Position (°2θ)	I_rel
9.31	43
10.68	80
14.03	26
24.52	19
26.63	100
28.18	89
34.42	20
38.48	19
39.17	60
44.58	34

Lattice parameters (Å, degrees): 10.9682 10.9682 16.8989 90.00 90.00 120.00
Space group P-31c (No. 163)
Unique sites:
Cs1 0.0000 0.0000 0.0000
Cs2 0.3333 0.6667 0.2500
Mo1 0.1908 0.5257 0.6854
I1 0.0339 0.3460 0.0910
I2 0.0415 0.3694 0.8196
I3 0.3333 0.6667 0.5486

# PmSm3As4
Simulated powder X-ray diffraction pattern, Cu Kα (weighted mean of Kα1 and Kα2). Input: a crystal structure in OQMD, relaxed with GGA-PBE.

Principal peaks in the range 5 to 70 degrees two-theta, sorted by position:
Position (°2θ)	I_rel
25.88	19
29.97	100
42.90	75
50.78	9
53.21	27
62.28	12
68.60	4

Lattice parameters (Å, degrees): 8.4318 11.9250 4.2178 90.00 90.00 90.00
Space group Cmmm (No. 65)
Unique sites:
Pm1 0.0000 0.0000 0.0000
Sm1 0.0000 0.5000 0.0000
Sm2 0.2500 0.2500 0.5000
As1 0.0000 0.2505 0.0000
As2 0.2490 0.5000 0.5000

# La3PrIn4
Simulated powder X-ray diffraction pattern, Cu Kα (weighted mean of Kα1 and Kα2). Input: a crystal structure in OQMD, relaxed with GGA-PBE.

Principal peaks in the range 5 to 70 degrees two-theta, sorted by position:
Position (°2θ)	I_rel
29.48	25
29.96	22
32.38	68
32.89	50
33.49	100
34.34	51
36.98	37
51.01	23
53.60	23
54.89	24

Lattice parameters (Å, degrees): 6.2941 6.0602 6.3054 90.00 99.50 90.00
Space group Pm (No. 6)
Unique sites:
La1 0.0000 0.0000 0.0000
La2 0.2907 0.5000 0.0324
La3 0.6594 0.5000 0.6627
Pr1 0.6248 0.0000 0.3677
In1 0.1441 0.2497 0.5151
In2 0.4756 0.0000 0.8436
In3 0.8143 0.5000 0.1878

# Pr3HfF4
Simulated powder X-ray diffraction pattern, Cu Kα (weighted mean of Kα1 and Kα2). Input: a crystal structure in OQMD, relaxed with GGA-PBE.

Principal peaks in the range 5 to 70 degrees two-theta, sorted by position:
Position (°2θ)	I_rel
27.72	100
32.07	25
32.21	13
45.99	16
46.09	31
54.55	30
54.73	15
57.26	10
67.07	5
67.40	2

Lattice parameters (Å, degrees): 5.5820 5.5820 11.1158 90.00 90.00 90.00
Space group I-42m (No. 121)
Unique sites:
Pr1 0.0000 0.0000 0.0000
Pr2 0.0000 0.5000 0.2500
Hf1 0.0000 0.0000 0.5000
F1 0.2382 0.2382 0.8663

# SnB3W4
Simulated powder X-ray diffraction pattern, Cu Kα (weighted mean of Kα1 and Kα2). Input: a crystal structure in OQMD, relaxed with GGA-PBE.

Principal peaks in the range 5 to 70 degrees two-theta, sorted by position:
Position (°2θ)	I_rel
32.76	29
33.40	28
34.43	14
35.84	68
37.07	54
37.59	86
39.63	100
53.24	18
58.07	53
67.15	13

Lattice parameters (Å, degrees): 3.1767 3.1767 24.2544 90.00 90.00 120.00
Space group P6_3/mmc (No. 194)
Unique sites:
Sn1 0.3333 0.6667 0.2500
B1 0.0000 0.0000 0.0000
B2 0.3333 0.6667 0.6072
W1 0.0000 0.0000 0.1542
W2 0.3333 0.6667 0.0551

# In7Cu10
Simulated powder X-ray diffraction pattern, Cu Kα (weighted mean of Kα1 and Kα2). Input: a crystal structure in OQMD, relaxed with GGA-PBE.

Principal peaks in the range 5 to 70 degrees two-theta, sorted by position:
Position (°2θ)	I_rel
29.62	33
30.00	17
32.67	19
32.88	17
40.64	29
41.43	100
41.93	27
41.97	87
42.40	35
42.66	84

Lattice parameters (Å, degrees): 13.9051 11.9127 6.7591 90.00 91.06 90.00
Space group C2/m (No. 12)
Unique sites:
In1 0.0350 0.0000 0.2835
In2 0.0688 0.2741 0.1981
In3 0.1557 0.2242 0.6133
In4 0.1664 0.5000 0.4975
In5 0.2370 0.5000 0.0669
Cu1 0.0000 0.3887 0.5000
Cu2 0.0486 0.5000 0.1662
Cu3 0.0944 0.1132 0.9390
Cu4 0.1070 0.3891 0.8472
Cu5 0.1487 0.0000 0.6074
Cu6 0.2048 0.1130 0.2741
Cu7 0.2500 0.2500 0.0000

Q: Number 4 is which compound?
A: CsMo3I7